Record 1
Calculated PXRD pattern
Compound: Np4AsP2Se
Radiation: Cu Kα, 1.54184 Å
Structure: DFT lattice parameters and positions (PBE)

Cell: 5.7134 5.7134 11.4182 Å, 90.00 90.00 90.00°
Sites, in units of the cell vectors:
1 Np 0.0000 0.0000 0.2441
2 Np 0.0000 0.0000 0.7559
3 Np 0.0000 0.5000 0.5050
4 Np 0.0000 0.5000 0.9950
5 Np 0.5000 0.0000 0.0050
6 Np 0.5000 0.0000 0.4950
7 Np 0.5000 0.5000 0.2559
8 Np 0.5000 0.5000 0.7441
9 As 0.0000 0.5000 0.2500
10 As 0.5000 0.0000 0.7500
11 P 0.0000 0.0000 0.0000
12 P 0.0000 0.5000 0.7500
13 P 0.5000 0.0000 0.2500
14 P 0.5000 0.5000 0.5000
15 Se 0.0000 0.0000 0.5000
16 Se 0.5000 0.5000 0.0000

Largest 8 diffraction maxima, by angle, 2θ = 10–80°:
2θ (°)	I/Imax
27.04	72.0
31.32	100.0
44.88	74.8
53.18	35.9
55.75	26.4
65.35	12.3
72.07	14.7
74.25	34.1

---

Record 2
Calculated PXRD pattern
Compound: KLiSeO4
Radiation: Cu Kα, 1.54184 Å
Structure: DFT lattice parameters and positions (PBE)

Cell: 5.6823 5.6823 7.9220 Å, 90.00 90.00 90.00°
Sites, in units of the cell vectors:
1 K 0.0000 0.0000 0.0000
2 K 0.5000 0.5000 0.5000
3 Li 0.0000 0.0000 0.5000
4 Li 0.5000 0.5000 0.0000
5 Se 0.0000 0.5000 0.2500
6 Se 0.5000 0.0000 0.7500
7 O 0.1080 0.7183 0.3690
8 O 0.2183 0.3920 0.1310
9 O 0.2817 0.1080 0.6310
10 O 0.3920 0.7817 0.8690
11 O 0.6080 0.2183 0.8690
12 O 0.7183 0.8920 0.6310
13 O 0.7817 0.6080 0.1310
14 O 0.8920 0.2817 0.3690

Largest 8 diffraction maxima, by angle, 2θ = 10–80°:
2θ (°)	I/Imax
19.22	100.0
31.49	12.7
31.72	42.9
37.16	24.1
37.56	9.2
49.80	12.8
56.21	13.7
56.65	9.0

---

Record 3
Calculated PXRD pattern
Compound: Pu2InPb9
Radiation: Cu Kα, 1.54184 Å
Structure: DFT lattice parameters and positions (PBE)

Cell: 6.0464 6.0464 10.4338 Å, 90.03 90.03 110.96°
Sites, in units of the cell vectors:
1 Pu 0.9995 0.9995 0.1671
2 Pu 0.0005 0.0005 0.8329
3 In 0.0000 0.0000 0.5000
4 Pb 0.0000 0.5000 0.0000
5 Pb 0.0000 0.4999 0.3334
6 Pb 0.0000 0.5001 0.6666
7 Pb 0.4995 0.4995 0.1684
8 Pb 0.5000 0.0000 0.0000
9 Pb 0.4999 0.0000 0.3334
10 Pb 0.5001 0.0000 0.6666
11 Pb 0.5000 0.5000 0.5000
12 Pb 0.5005 0.5005 0.8316

Largest 8 diffraction maxima, by angle, 2θ = 10–80°:
2θ (°)	I/Imax
31.37	100.0
31.69	97.4
36.06	34.8
36.82	65.8
52.49	48.6
61.92	14.9
62.76	28.8
63.33	27.9